Entry 1:
Simulated X-ray diffraction stick pattern
Compound: PrDyHo4Tm2
Radiation: copper Kα
Structure: a GGA-PBE-relaxed structure

Main lines, by angle (15° ≤ 2θ ≤ 90°):
two_theta  I/Imax
27.0  46
30.5  100
41.2  89
54.2  20
61.6  27
64.7  23

Atomic structure:
```
PrDyHo4Tm2
1.0
-3.380 5.862 6.613
3.380 -5.862 6.613
3.380 5.862 -6.613
Pr Dy Ho Tm
2 2 8 4
Direct
0.000 0.000 0.000
0.500 0.000 0.500
0.500 0.000 0.000
0.500 0.500 0.500
0.246 0.747 0.498
0.248 0.251 0.502
0.248 0.746 0.998
0.251 0.253 0.998
0.749 0.747 0.002
0.752 0.254 0.002
0.752 0.749 0.498
0.754 0.253 0.502
0.000 0.000 0.500
0.000 0.500 0.000
0.000 0.500 0.500
0.500 0.500 0.000
```

Entry 2:
Simulated X-ray diffraction stick pattern
Compound: Pr2DyHo6Tm
Radiation: copper Kα
Structure: a GGA-PBE-relaxed structure

Main lines, by angle (15° ≤ 2θ ≤ 90°):
two_theta  I/Imax
28.8  66
30.5  66
30.7  93
31.5  80
31.9  100
33.5  95

Atomic structure:
```
Pr2DyHo6Tm
1.0
4.500 -7.499 0.000
4.500 7.499 0.000
-1.543 0.000 9.568
Pr Dy Ho Tm
4 2 12 2
Direct
0.194 0.297 0.043
0.297 0.194 0.543
0.703 0.806 0.457
0.806 0.703 0.957
0.017 0.983 0.250
0.983 0.017 0.750
0.021 0.576 0.188
0.125 0.743 0.557
0.257 0.875 0.943
0.293 0.504 0.381
0.424 0.979 0.312
0.496 0.707 0.119
0.504 0.293 0.881
0.576 0.021 0.688
0.707 0.496 0.619
0.743 0.125 0.057
0.875 0.257 0.443
0.979 0.424 0.812
0.406 0.594 0.750
0.594 0.406 0.250
```

Entry 3:
Simulated X-ray diffraction stick pattern
Compound: PrDy2Y2Ho
Radiation: copper Kα
Structure: a GGA-PBE-relaxed structure

Main lines, by angle (15° ≤ 2θ ≤ 90°):
two_theta  I/Imax
29.1  100
30.0  87
30.1  85
31.2  59
34.0  81
35.8  58

Atomic structure:
```
PrDy2Y2Ho
1.0
6.539 0.000 0.000
0.000 17.889 0.000
0.000 0.000 3.418
Pr Dy Y Ho
2 4 4 2
Direct
0.000 0.000 0.000
0.500 0.500 0.500
0.218 0.353 0.500
0.282 0.853 0.000
0.718 0.147 0.000
0.782 0.647 0.500
0.221 0.187 0.000
0.279 0.687 0.500
0.721 0.313 0.500
0.779 0.813 0.000
0.000 0.500 0.000
0.500 0.000 0.500
```

Entry 4:
Simulated X-ray diffraction stick pattern
Compound: Pr2DyY2Ho2
Radiation: copper Kα
Structure: a GGA-PBE-relaxed structure

Main lines, by angle (15° ≤ 2θ ≤ 90°):
two_theta  I/Imax
28.4  54
30.4  70
30.7  83
32.3  100
32.8  55
35.1  76

Atomic structure:
```
Pr2DyY2Ho2
1.0
5.904 -1.764 0.000
5.904 1.764 0.000
-3.823 0.000 11.245
Pr Dy Y Ho
2 1 2 2
Direct
0.172 0.172 0.086
0.828 0.828 0.914
0.500 0.500 0.500
0.048 0.048 0.769
0.952 0.952 0.231
0.272 0.272 0.634
0.728 0.728 0.366
```

Entry 5:
Simulated X-ray diffraction stick pattern
Compound: DyHo2Pt9
Radiation: copper Kα
Structure: a GGA-PBE-relaxed structure

Main lines, by angle (15° ≤ 2θ ≤ 90°):
two_theta  I/Imax
37.9  100
44.0  49
64.0  33
76.9  39
81.0  11

Atomic structure:
```
DyHo2Pt9
1.0
4.113 0.000 0.000
0.000 4.113 0.000
0.000 0.000 12.337
Dy Ho Pt
1 2 9
Direct
0.000 0.000 0.000
0.000 0.000 0.334
0.000 0.000 0.666
0.000 0.500 0.167
0.000 0.500 0.500
0.000 0.500 0.833
0.500 0.000 0.167
0.500 0.000 0.500
0.500 0.000 0.833
0.500 0.500 0.000
0.500 0.500 0.334
0.500 0.500 0.666
```

Entry 6:
Simulated X-ray diffraction stick pattern
Compound: DyHoSiPt
Radiation: copper Kα
Structure: a GGA-PBE-relaxed structure

Main lines, by angle (15° ≤ 2θ ≤ 90°):
two_theta  I/Imax
32.2  100
33.5  26
33.8  37
40.3  51
43.5  22
56.1  27

Atomic structure:
```
DyHoSiPt
1.0
4.164 0.000 0.000
0.000 1.990 5.346
0.000 -1.990 5.346
Dy Ho Si Pt
1 1 1 1
Direct
0.000 0.000 0.000
0.500 0.282 0.282
0.000 0.718 0.718
0.500 0.563 0.563
```

Entry 7:
Simulated X-ray diffraction stick pattern
Compound: Dy2HoSi2Pt7
Radiation: copper Kα
Structure: a GGA-PBE-relaxed structure

Main lines, by angle (15° ≤ 2θ ≤ 90°):
two_theta  I/Imax
32.9  33
34.2  45
34.7  62
36.2  82
37.4  100
45.0  85

Atomic structure:
```
Dy2HoSi2Pt7
1.0
2.863 -2.839 0.000
2.863 2.839 0.000
-2.110 0.000 13.617
Dy Ho Si Pt
2 1 2 7
Direct
0.118 0.118 0.356
0.882 0.882 0.644
0.000 0.000 0.000
0.404 0.404 0.742
0.596 0.596 0.258
0.061 0.560 0.161
0.365 0.365 0.572
0.440 0.939 0.839
0.500 0.500 0.000
0.560 0.061 0.161
0.635 0.635 0.428
0.939 0.440 0.839
```

Entry 8:
Simulated X-ray diffraction stick pattern
Compound: Dy6Ho2Pu
Radiation: copper Kα
Structure: a GGA-PBE-relaxed structure

Main lines, by angle (15° ≤ 2θ ≤ 90°):
two_theta  I/Imax
29.9  36
31.5  64
32.4  100
33.1  50
33.4  66
50.1  17

Atomic structure:
```
Dy6Ho2Pu
1.0
3.492 0.000 0.000
-0.049 8.560 0.000
-0.190 -2.338 9.325
Dy Ho Pu
6 2 1
Direct
0.205 0.314 0.212
0.254 0.982 0.654
0.258 0.359 0.577
0.742 0.641 0.423
0.746 0.018 0.346
0.795 0.686 0.788
0.237 0.675 0.111
0.763 0.325 0.889
0.500 0.000 0.000
```

Entry 9:
Simulated X-ray diffraction stick pattern
Compound: Dy6Ho8Pu
Radiation: copper Kα
Structure: a GGA-PBE-relaxed structure

Main lines, by angle (15° ≤ 2θ ≤ 90°):
two_theta  I/Imax
30.8  24
31.7  100
31.9  66
33.0  49
35.4  23
37.2  24

Atomic structure:
```
Dy6Ho8Pu
1.0
4.482 2.588 6.750
-4.482 2.588 6.750
0.000 -5.176 6.750
Dy Ho Pu
6 8 1
Direct
0.046 0.614 0.720
0.280 0.954 0.386
0.386 0.280 0.954
0.614 0.720 0.046
0.720 0.046 0.614
0.954 0.386 0.280
0.076 0.076 0.076
0.219 0.611 0.250
0.250 0.219 0.611
0.389 0.750 0.781
0.611 0.250 0.219
0.750 0.781 0.389
0.781 0.389 0.750
0.924 0.924 0.924
0.500 0.500 0.500
```

Entry 10:
Simulated X-ray diffraction stick pattern
Compound: DyHoPu
Radiation: copper Kα
Structure: a GGA-PBE-relaxed structure

Main lines, by angle (15° ≤ 2θ ≤ 90°):
two_theta  I/Imax
31.4  100
36.4  34
36.6  17
52.5  24
62.4  29
62.6  14

Atomic structure:
```
DyHoPu
1.0
-1.745 1.745 7.374
1.745 -1.745 7.374
1.745 1.745 -7.374
Dy Ho Pu
1 1 1
Direct
0.000 0.000 0.000
0.328 0.328 0.000
0.665 0.665 0.000
```

Entry 11:
Simulated X-ray diffraction stick pattern
Compound: Dy6Ho4Pu
Radiation: copper Kα
Structure: a GGA-PBE-relaxed structure

Main lines, by angle (15° ≤ 2θ ≤ 90°):
two_theta  I/Imax
27.0  35
29.9  43
31.0  57
32.1  100
35.0  39
35.8  42

Atomic structure:
```
Dy6Ho4Pu
1.0
1.754 -11.525 0.000
1.754 11.525 0.000
0.000 0.000 17.252
Dy Ho Pu
12 8 2
Direct
0.000 0.000 0.000
0.000 0.000 0.500
0.251 0.749 0.750
0.259 0.741 0.083
0.259 0.741 0.417
0.489 0.511 0.661
0.489 0.511 0.839
0.511 0.489 0.161
0.511 0.489 0.339
0.741 0.259 0.583
0.741 0.259 0.917
0.749 0.251 0.250
0.118 0.882 0.640
0.118 0.882 0.860
0.370 0.630 0.549
0.370 0.630 0.951
0.630 0.370 0.049
0.630 0.370 0.451
0.882 0.118 0.140
0.882 0.118 0.360
0.124 0.876 0.250
0.876 0.124 0.750
```

Entry 12:
Simulated X-ray diffraction stick pattern
Compound: Dy3Ho3Pu
Radiation: copper Kα
Structure: a GGA-PBE-relaxed structure

Main lines, by angle (15° ≤ 2θ ≤ 90°):
two_theta  I/Imax
29.9  28
31.9  100
32.1  40
35.1  65
51.7  33
62.2  52

Atomic structure:
```
Dy3Ho3Pu
1.0
3.060 1.767 13.945
-3.060 1.767 13.945
0.000 -3.533 13.945
Dy Ho Pu
6 6 2
Direct
0.036 0.368 0.700
0.300 0.964 0.632
0.368 0.700 0.036
0.632 0.300 0.964
0.700 0.036 0.368
0.964 0.632 0.300
0.102 0.768 0.435
0.232 0.565 0.898
0.435 0.102 0.768
0.565 0.898 0.232
0.768 0.435 0.102
0.898 0.232 0.565
0.167 0.167 0.167
0.833 0.833 0.833
```